The following is a simulated X-ray powder pattern of ZnPd15. It was derived from a crystal structure in OQMD, relaxed with PBE, using Cu Kα.

Principal peaks in the range 2θ = 10–90°, by intensity:
- 39.23°, rel. 100
- 40.42°, rel. 53
- 46.40°, rel. 48
- 81.14°, rel. 23
- 67.50°, rel. 20
- 46.14°, rel. 16

Crystal structure
```
ZnPd15
1.0
3.914 0.000 0.000
0.000 3.915 0.000
0.000 0.000 45.253
Zn Pd
2 30
direct
0.250 0.000 0.172
0.750 0.000 0.828
0.250 0.000 0.257
0.250 0.000 0.346
0.250 0.000 0.434
0.250 0.000 0.522
0.250 0.000 0.610
0.250 0.000 0.698
0.250 0.000 0.787
0.250 0.500 0.213
0.250 0.500 0.302
0.250 0.500 0.390
0.250 0.500 0.478
0.250 0.500 0.566
0.250 0.500 0.654
0.250 0.500 0.743
0.250 0.500 0.831
0.750 0.000 0.213
0.750 0.000 0.302
0.750 0.000 0.390
0.750 0.000 0.478
0.750 0.000 0.566
0.750 0.000 0.654
0.750 0.000 0.743
0.750 0.500 0.169
0.750 0.500 0.257
0.750 0.500 0.346
0.750 0.500 0.434
0.750 0.500 0.522
0.750 0.500 0.610
0.750 0.500 0.698
0.750 0.500 0.787
```

***

The following is a simulated X-ray powder pattern of BaGd2Sc2O7. It was derived from a crystal structure in OQMD, relaxed with PBE, using Cu Kα.

Principal peaks in the range 2θ = 10–90°, by intensity:
- 31.45°, rel. 100
- 31.01°, rel. 58
- 55.44°, rel. 36
- 44.42°, rel. 31
- 22.25°, rel. 27
- 41.54°, rel. 23

Crystal structure
```
BaGd2Sc2O7
1.0
5.768 0.000 0.000
0.000 5.768 0.000
0.000 0.000 19.848
Ba Gd Sc O
4 8 8 28
direct
0.239 0.239 0.000
0.261 0.739 0.500
0.739 0.261 0.500
0.761 0.761 0.000
0.219 0.219 0.186
0.219 0.219 0.814
0.281 0.719 0.314
0.281 0.719 0.686
0.719 0.281 0.314
0.719 0.281 0.686
0.781 0.781 0.186
0.781 0.781 0.814
0.240 0.240 0.395
0.240 0.240 0.605
0.260 0.740 0.105
0.260 0.740 0.895
0.740 0.260 0.105
0.740 0.260 0.895
0.760 0.760 0.395
0.760 0.760 0.605
0.000 0.000 0.095
0.000 0.000 0.365
0.000 0.000 0.635
0.000 0.000 0.905
0.000 0.500 0.118
0.000 0.500 0.382
0.000 0.500 0.618
0.000 0.500 0.882
0.178 0.822 0.213
0.178 0.822 0.787
0.213 0.213 0.500
0.287 0.713 0.000
0.322 0.322 0.287
0.322 0.322 0.713
0.500 0.000 0.118
0.500 0.000 0.382
0.500 0.000 0.618
0.500 0.000 0.882
0.500 0.500 0.135
0.500 0.500 0.405
0.500 0.500 0.595
0.500 0.500 0.865
0.678 0.678 0.287
0.678 0.678 0.713
0.713 0.287 0.000
0.787 0.787 0.500
0.822 0.178 0.213
0.822 0.178 0.787
```

***

The following is a simulated X-ray powder pattern of MgW. It was derived from a crystal structure in OQMD, relaxed with PBE, using Cu Kα.

Principal peaks in the range 2θ = 10–90°, by intensity:
- 40.96°, rel. 100
- 12.43°, rel. 96
- 40.00°, rel. 88
- 38.09°, rel. 53
- 36.06°, rel. 51
- 18.39°, rel. 39

Crystal structure
```
MgW
1.0
4.725 0.000 0.000
0.000 7.122 2.564
0.000 -7.122 2.564
Mg W
5 5
direct
0.000 0.000 0.000
0.000 0.391 0.586
0.000 0.586 0.391
0.500 0.697 0.897
0.500 0.897 0.697
0.000 0.229 0.811
0.000 0.811 0.229
0.500 0.092 0.494
0.500 0.291 0.291
0.500 0.494 0.092
```